No. 1
Li9Mn7O16: computed powder diffraction line list (Cu Kα X-rays), based on a cell relaxed with PBE+U.

Crystal structure
a b c (Å): 19.6792 5.7937 5.2552
angles (deg): 90.00 96.87 90.00
Space group C2/m (No. 12)
Inequivalent atoms, fractional coordinates:
Li (0.0000, 0.0000, 0.0000) [2 per cell]
Li (0.0000, 0.2404, 0.5000) [4 per cell]
Li (0.1204, 0.0000, 0.7482) [4 per cell]
Li (0.1237, 0.5000, 0.7580) [4 per cell]
Li (0.2500, 0.2500, 0.0000) [4 per cell]
Mn (0.0000, 0.5000, 0.0000) [2 per cell]
Mn (0.1215, 0.2462, 0.2337) [8 per cell]
Mn (0.2498, 0.0000, 0.5006) [4 per cell]
O (0.0593, 0.2645, 0.8837) [8 per cell]
O (0.0597, 0.5000, 0.3326) [4 per cell]
O (0.0698, 0.0000, 0.3700) [4 per cell]
O (0.1802, 0.5000, 0.1346) [4 per cell]
O (0.1813, 0.0000, 0.1268) [4 per cell]
O (0.1921, 0.2522, 0.6114) [8 per cell]

Largest 10 diffraction maxima, by intensity, 2θ from 10° to 80°:
4.849 Å, 2θ = 18.3°, rel. 100, (2 0 -1); 2.058 Å, 2θ = 44.0°, rel. 56, (6 2 -1); 2.195 Å, 2θ = 41.1°, rel. 35, (4 0 2); 2.492 Å, 2θ = 36.0°, rel. 24, (4 2 0); 2.625 Å, 2θ = 34.2°, rel. 18, (6 0 1); 1.505 Å, 2θ = 61.6°, rel. 17, (10 2 1); 1.497 Å, 2θ = 62.0°, rel. 16, (2 2 -3); 1.939 Å, 2θ = 46.9°, rel. 10, (0 2 2); 1.589 Å, 2θ = 58.1°, rel. 10, (8 2 -2); 1.448 Å, 2θ = 64.3°, rel. 8, (0 4 0)



No. 2
Li9Mn2Co5O16: computed powder diffraction line list (Cu Kα X-rays), based on a cell relaxed with PBE+U.

Crystal structure
a b c (Å): 5.8884 6.4416 7.8130
angles (deg): 87.70 76.25 76.86
Space group P-1 (No. 2)
Inequivalent atoms, fractional coordinates:
Li (0.0000, 0.0000, 0.0000) [1 per cell]
Li (0.1216, 0.8760, 0.6325) [2 per cell]
Li (0.1288, 0.3663, 0.1245) [2 per cell]
Li (0.3691, 0.1245, 0.3667) [2 per cell]
Li (0.3687, 0.6352, 0.8782) [2 per cell]
Mn (0.2434, 0.7511, 0.2450) [2 per cell]
Co (0.0000, 0.5000, 0.5000) [1 per cell]
Co (0.2545, 0.2492, 0.7548) [2 per cell]
Co (0.5000, 0.0000, 0.0000) [1 per cell]
Co (0.5000, 0.5000, 0.5000) [1 per cell]
O (0.0443, 0.2031, 0.5648) [2 per cell]
O (0.0592, 0.6919, 0.0875) [2 per cell]
O (0.2021, 0.0436, 0.1843) [2 per cell]
O (0.2114, 0.5442, 0.6824) [2 per cell]
O (0.2926, 0.4509, 0.3210) [2 per cell]
O (0.3221, 0.9651, 0.8223) [2 per cell]
O (0.4348, 0.7914, 0.4173) [2 per cell]
O (0.4644, 0.2981, 0.9371) [2 per cell]

Largest 10 diffraction maxima, by intensity, 2θ from 10° to 80°:
4.800 Å, 2θ = 18.5°, rel. 100, (0 1 1); 2.132 Å, 2θ = 42.4°, rel. 30, (2 1 3); 2.030 Å, 2θ = 44.6°, rel. 25, (2 0 -2); 2.023 Å, 2θ = 44.8°, rel. 25, (0 3 -1); 1.470 Å, 2θ = 63.3°, rel. 22, (4 1 1); 2.550 Å, 2θ = 35.2°, rel. 16, (2 0 2); 2.444 Å, 2θ = 36.8°, rel. 12, (2 1 -1); 2.435 Å, 2θ = 36.9°, rel. 12, (0 2 -2); 1.898 Å, 2θ = 47.9°, rel. 9, (2 3 1); 1.418 Å, 2θ = 65.9°, rel. 9, (2 3 -3)